PrErCu2As4: theoretical powder XRD pattern (Cu Kα (λ = 1.5418 Å)), based on a DFT-relaxed cell (PBE, OQMD).
No peak broadening, texture or thermal motion is included.

Structural model:
Cell lengths 3.9504, 3.9504, 10.0088 Å; angles 90.00, 90.00, 90.00 degrees
Sites, in units of the cell vectors:
Pr  0.0000  0.0000  0.0000
Er  0.5000  0.5000  0.4749
Cu  0.0000  0.5000  0.7290
Cu  0.5000  0.0000  0.7290
As  0.0000  0.0000  0.5725
As  0.0000  0.5000  0.2450
As  0.5000  0.0000  0.2450
As  0.5000  0.5000  0.8837

Largest 12 diffraction maxima, low angle first, 5 to 70 degrees two-theta:
2theta  intensity
8.84  63
24.22  217
28.79  166
35.21  289
35.89  140
36.85  1000
45.95  356
51.16  171
59.18  129
59.64  125
65.13  76
67.00  112

ScNbAl2: theoretical powder XRD pattern (Cu Kα (λ = 1.5418 Å)), based on a DFT-relaxed cell (PBE, OQMD).
No peak broadening, texture or thermal motion is included.

Structural model:
Cell lengths 4.6486, 4.6486, 4.6486 Å; angles 60.00, 60.00, 60.00 degrees
Sites, in units of the cell vectors:
Sc  0.0000  0.0000  0.0000
Nb  0.2500  0.2500  0.2500
Al  0.5000  0.5000  0.5000
Al  0.7500  0.7500  0.7500

Largest 8 diffraction maxima, low angle first, 5 to 70 degrees two-theta:
2theta  intensity
23.44  336
27.13  89
38.74  1000
45.78  164
47.94  26
55.95  164
61.48  65
63.26  35

CuNiH6: theoretical powder XRD pattern (Cu Kα (λ = 1.5418 Å)), based on a DFT-relaxed cell (PBE, OQMD).
No peak broadening, texture or thermal motion is included.

Structural model:
Cell lengths 4.1457, 4.1493, 4.2086 Å; angles 119.41, 90.11, 119.93 degrees
Sites, in units of the cell vectors:
Cu  0.0000  0.0000  0.0000
Ni  0.5000  0.0000  0.5000
H  0.1116  0.8567  0.2614
H  0.2544  0.8510  0.7380
H  0.4027  0.5161  0.2619
H  0.5973  0.4839  0.7381
H  0.7456  0.1490  0.2620
H  0.8884  0.1433  0.7386

Largest 9 diffraction maxima, low angle first, 5 to 70 degrees two-theta:
2theta  intensity
30.21  1000
30.29  497
42.95  546
43.63  498
52.85  88
54.01  264
62.78  55
62.88  55
63.01  54

Hf2ZrNi4As4: theoretical powder XRD pattern (Cu Kα (λ = 1.5418 Å)), based on a DFT-relaxed cell (PBE, OQMD).
No peak broadening, texture or thermal motion is included.

Structural model:
Cell lengths 6.4350, 3.8160, 7.2579 Å; angles 90.00, 90.15, 90.00 degrees
Sites, in units of the cell vectors:
Hf  0.0000  0.0000  0.0000
Hf  0.0520  0.5000  0.6251
Zr  0.5091  0.0000  0.1373
Ni  0.1671  0.5000  0.2556
Ni  0.3845  0.0000  0.7569
Ni  0.6804  0.5000  0.8722
Ni  0.9125  0.0000  0.3761
As  0.2932  0.0000  0.4425
As  0.2966  0.5000  0.9370
As  0.7545  0.0000  0.6825
As  0.7911  0.5000  0.2117

Largest 12 diffraction maxima, low angle first, 5 to 70 degrees two-theta:
2theta  intensity
13.76  480
28.26  160
29.87  354
36.53  212
36.93  642
38.65  1000
39.81  279
44.04  171
44.33  348
46.62  225
47.66  373
49.30  162

InCu2TeS2: theoretical powder XRD pattern (Cu Kα (λ = 1.5418 Å)), based on a DFT-relaxed cell (PBE, OQMD).
No peak broadening, texture or thermal motion is included.

Structural model:
Cell lengths 6.9736, 6.9736, 6.8782 Å; angles 99.33, 99.33, 119.84 degrees
Sites, in units of the cell vectors:
In  0.0897  0.9103  0.5000
In  0.9103  0.0897  0.0000
Cu  0.2676  0.7940  0.9852
Cu  0.4313  0.6309  0.5244
Cu  0.6309  0.4313  0.0244
Cu  0.7940  0.2676  0.4852
Te  0.3358  0.5068  0.1330
Te  0.5068  0.3358  0.6330
S  0.1392  0.6209  0.6357
S  0.6209  0.1392  0.1357
S  0.7856  0.9723  0.6088
S  0.9723  0.7856  0.1088

Largest 12 diffraction maxima, low angle first, 5 to 70 degrees two-theta:
2theta  intensity
20.07  181
26.96  657
27.23  1000
27.40  693
32.72  138
44.96  716
45.07  237
45.54  483
53.31  166
53.59  298
53.82  174
65.55  132

InCu2Te2S: theoretical powder XRD pattern (Cu Kα (λ = 1.5418 Å)), based on a DFT-relaxed cell (PBE, OQMD).
No peak broadening, texture or thermal motion is included.

Structural model:
Cell lengths 7.2365, 7.2365, 7.1849 Å; angles 99.68, 99.68, 119.84 degrees
Sites, in units of the cell vectors:
In  0.1012  0.8988  0.5000
In  0.8988  0.1012  0.0000
Cu  0.2828  0.7768  0.9527
Cu  0.3831  0.5761  0.4881
Cu  0.5761  0.3831  0.9881
Cu  0.7768  0.2828  0.4527
Te  0.3229  0.4944  0.1123
Te  0.4944  0.3229  0.6123
Te  0.7592  0.9591  0.5818
Te  0.9591  0.7592  0.0818
S  0.1273  0.6008  0.6153
S  0.6008  0.1273  0.1153

Largest 12 diffraction maxima, low angle first, 5 to 70 degrees two-theta:
2theta  intensity
26.12  1000
26.34  390
28.51  96
39.03  76
39.20  80
43.24  293
43.35  145
43.54  461
51.32  278
51.44  90
51.61  110
63.07  115